# BaMnV2Ag2O8
Calculated X-ray diffraction stick pattern, copper Kα. Input: DFT lattice parameters and positions (PBE+U).

Atomic structure:
Unit cell a=5.6336 b=5.6336 c=7.4681 alpha=90.00 beta=90.00 gamma=120.00
Space group P-3 (No. 147)
Symmetry-distinct sites (fractional):
Ba 0.0000 0.0000 0.0000 x1
Mn 0.0000 0.0000 0.5000 x1
V 0.3333 0.6667 0.7520 x2
Ag 0.3333 0.6667 0.3090 x2
O 0.0819 0.3348 0.6818 x6
O 0.3333 0.6667 0.9807 x2

Main lines, low angle first (10 to 90 degrees two-theta):
d = 4.084 Å, intensity 26, (0 1 1); d = 2.965 Å, intensity 93, (1 0 2); d = 2.817 Å, intensity 100, (1 1 0); d = 2.042 Å, intensity 42, (0 2 2); d = 1.653 Å, intensity 33, (2 1 2); d = 1.626 Å, intensity 23, (3 0 0)